1.
# Li5Mn6B6O18
Calculated powder XRD pattern, Cu Kα (weighted mean of Kα1 and Kα2). Input: the PBE+U geometry in the Materials Project.
Lines closer than 0.1° are merged.

Most intense lines, 2θ = 10–90°, in order of falling intensity:
(0 2 -2), 33.7°, I 100; (0 1 2), 20.3°, I 90; (1 -1 0), 22.6°, I 73; (2 0 -2), 40.7°, I 61; (1 1 1), 21.9°, I 45; (-1 1 3), 34.2°, I 33; (2 0 1), 34.0°, I 31; (2 1 3), 39.8°, I 28; (1 1 4), 34.5°, I 26; (1 0 2), 20.7°, I 25

Structure:
```
data_Li5Mn6B6O18
_cell_length_a 5.2821
_cell_length_b 6.2203
_cell_length_c 11.8093
_cell_angle_alpha 85.68
_cell_angle_beta 78.91
_cell_angle_gamma 87.79
_symmetry_space_group_name_H-M 'P 1'
_symmetry_Int_Tables_number 1
loop_
_symmetry_equiv_pos_as_xyz
'x,y,z'
loop_
_atom_site_label
_atom_site_type_symbol
_atom_site_fract_x
_atom_site_fract_y
_atom_site_fract_z
Li1 Li 0.0000 0.0000 0.0000
Li2 Li 0.0147 0.6152 0.2589
Li3 Li 0.3397 0.3321 0.3343
Li4 Li 0.3637 0.9320 0.5992
Li5 Li 0.6820 0.2807 0.9215
Mn1 Mn 0.1440 0.4510 0.0117
Mn2 Mn 0.2032 0.5027 0.5850
Mn3 Mn 0.4775 0.7809 0.3463
Mn4 Mn 0.5370 0.8315 0.9095
Mn5 Mn 0.8259 0.1044 0.6725
Mn6 Mn 0.8770 0.1638 0.2456
B1 B 0.1000 0.7583 0.7981
B2 B 0.2495 0.2110 0.7941
B3 B 0.4354 0.0699 0.1299
B4 B 0.5853 0.5459 0.1263
B5 B 0.7683 0.3855 0.4657
B6 B 0.9206 0.8823 0.4604
O1 O 0.0574 0.2652 0.8845
O2 O 0.1454 0.7603 0.9112
O3 O 0.1657 0.8307 0.4832
O4 O 0.1854 0.1126 0.1109
O5 O 0.1883 0.1849 0.6851
O6 O 0.2819 0.6841 0.7120
O7 O 0.3875 0.5986 0.2158
O8 O 0.4888 0.0915 0.2406
O9 O 0.5025 0.1669 0.8069
O10 O 0.5210 0.4465 0.4494
O11 O 0.5351 0.5248 0.0149
O12 O 0.6299 0.0164 0.0399
O13 O 0.7251 0.9587 0.5437
O14 O 0.8302 0.3765 0.5772
O15 O 0.8336 0.5030 0.1469
O16 O 0.8608 0.8465 0.7783
O17 O 0.8671 0.8544 0.3507
O18 O 0.9650 0.3505 0.3727
```

2.
# Li2Mn3B3O9
Calculated powder XRD pattern, Cu Kα (weighted mean of Kα1 and Kα2). Input: the PBE+U geometry in the Materials Project.
Lines closer than 0.1° are merged.

Most intense lines, 2θ = 10–90°, in order of falling intensity:
(0 1 1), 21.5°, I 100; (0 2 -1), 21.8°, I 54; (-2 1 2), 36.3°, I 34; (0 3 0), 38.0°, I 28; (2 -2 0), 35.7°, I 19; (2 1 -3), 36.6°, I 15; (2 -1 1), 35.2°, I 15; (2 1 0), 35.4°, I 13; (0 0 3), 37.6°, I 13; (2 0 -1), 28.4°, I 12

Structure:
```
data_Li2Mn3B3O9
_cell_length_a 6.3012
_cell_length_b 8.1640
_cell_length_c 8.7203
_cell_angle_alpha 117.53
_cell_angle_beta 108.89
_cell_angle_gamma 90.89
_symmetry_space_group_name_H-M 'P 1'
_symmetry_Int_Tables_number 1
loop_
_symmetry_equiv_pos_as_xyz
'x,y,z'
loop_
_atom_site_label
_atom_site_type_symbol
_atom_site_fract_x
_atom_site_fract_y
_atom_site_fract_z
Li1 Li 0.0000 0.0000 0.0000
Li2 Li 0.1387 0.5882 0.3191
Li3 Li 0.5139 0.0009 0.9966
Li4 Li 0.8473 0.3283 0.7372
Mn1 Mn 0.1181 0.0025 0.6725
Mn2 Mn 0.2545 0.6437 0.0206
Mn3 Mn 0.4286 0.3115 0.3724
Mn4 Mn 0.5861 0.9266 0.6149
Mn5 Mn 0.7504 0.6750 0.0355
Mn6 Mn 0.9372 0.3063 0.3944
B1 B 0.1857 0.9699 0.3486
B2 B 0.2505 0.2995 0.0183
B3 B 0.3393 0.6519 0.6815
B4 B 0.6749 0.9835 0.3479
B5 B 0.7632 0.2908 0.0125
B6 B 0.8476 0.6518 0.6971
O1 O 0.0916 0.7807 0.2430
O2 O 0.1315 0.0938 0.2801
O3 O 0.1689 0.3507 0.8817
O4 O 0.2398 0.4640 0.5521
O5 O 0.2434 0.1068 0.9581
O6 O 0.3302 0.4300 0.2042
O7 O 0.3320 0.7723 0.6069
O8 O 0.3376 0.0477 0.5350
O9 O 0.4374 0.7163 0.8682
O10 O 0.5780 0.7993 0.2319
O11 O 0.6630 0.1087 0.2770
O12 O 0.7174 0.3933 0.9225
O13 O 0.7188 0.0946 0.9128
O14 O 0.7760 0.4565 0.5775
O15 O 0.7856 0.0554 0.5409
O16 O 0.8236 0.7774 0.6294
O17 O 0.8642 0.3869 0.2066
O18 O 0.9469 0.7185 0.8861
```

3.
# Li2Mn3B3O9
Calculated powder XRD pattern, Cu Kα (weighted mean of Kα1 and Kα2). Input: the PBE+U geometry in the Materials Project.
Lines closer than 0.1° are merged.

Most intense lines, 2θ = 10–90°, in order of falling intensity:
(0 1 2), 20.2°, I 100; (0 2 -2), 34.5°, I 95; (1 0 2), 22.9°, I 82; (1 0 -1), 21.9°, I 55; (2 2 2), 40.6°, I 39; (1 2 3), 34.1°, I 39; (2 0 1), 33.9°, I 30; (1 -1 0), 20.7°, I 28; (1 -2 4), 51.6°, I 28; (1 3 5), 53.6°, I 28

Structure:
```
data_Li2Mn3B3O9
_cell_length_a 5.2981
_cell_length_b 7.8541
_cell_length_c 9.6135
_cell_angle_alpha 75.24
_cell_angle_beta 75.78
_cell_angle_gamma 87.42
_symmetry_space_group_name_H-M 'P 1'
_symmetry_Int_Tables_number 1
loop_
_symmetry_equiv_pos_as_xyz
'x,y,z'
loop_
_atom_site_label
_atom_site_type_symbol
_atom_site_fract_x
_atom_site_fract_y
_atom_site_fract_z
Li1 Li 0.0000 0.0000 0.0000
Li2 Li 0.0741 0.5218 0.1760
Li3 Li 0.3500 0.3136 0.3418
Li4 Li 0.6679 0.6652 0.6672
Mn1 Mn 0.1075 0.7208 0.8014
Mn2 Mn 0.3191 0.1267 0.7110
Mn3 Mn 0.4338 0.0454 0.1388
Mn4 Mn 0.6561 0.4517 0.0340
Mn5 Mn 0.7719 0.3854 0.4819
Mn6 Mn 0.9855 0.7915 0.3779
B1 B 0.1916 0.3334 0.9421
B2 B 0.2197 0.5001 0.5878
B3 B 0.5358 0.6713 0.2585
B4 B 0.5547 0.8355 0.9194
B5 B 0.8567 0.0006 0.6074
B6 B 0.8910 0.1700 0.2515
O1 O 0.0033 0.2748 0.3146
O2 O 0.0338 0.0327 0.2002
O3 O 0.0708 0.4870 0.9778
O4 O 0.0852 0.9612 0.6563
O5 O 0.0875 0.2381 0.8713
O6 O 0.3126 0.8819 0.8894
O7 O 0.3342 0.5860 0.6639
O8 O 0.3489 0.3595 0.5359
O9 O 0.3990 0.8205 0.2906
O10 O 0.4131 0.2784 0.9969
O11 O 0.4199 0.5598 0.2016
O12 O 0.6454 0.2022 0.2239
O13 O 0.6642 0.9210 0.9989
O14 O 0.6900 0.6990 0.8649
O15 O 0.7171 0.1441 0.6423
O16 O 0.7636 0.8991 0.5358
O17 O 0.7733 0.6312 0.2951
O18 O 0.9813 0.5511 0.5545
```

4.
# Li2Mn3B3O9
Calculated powder XRD pattern, Cu Kα (weighted mean of Kα1 and Kα2). Input: the PBE+U geometry in the Materials Project.
Lines closer than 0.1° are merged.

Most intense lines, 2θ = 10–90°, in order of falling intensity:
(0 0 3), 20.2°, I 100; (1 -1 2), 22.9°, I 96; (0 2 -2), 34.7°, I 92; (1 0 -2), 22.0°, I 55; (1 0 4), 34.0°, I 38; (2 0 2), 40.6°, I 38; (2 -1 0), 33.9°, I 29; (-1 1 1), 20.7°, I 28; (1 0 -5), 37.6°, I 28; (-2 1 3), 39.6°, I 27

Structure:
```
data_Li2Mn3B3O9
_cell_length_a 5.2995
_cell_length_b 5.8421
_cell_length_c 13.3220
_cell_angle_alpha 96.97
_cell_angle_beta 91.04
_cell_angle_gamma 113.56
_symmetry_space_group_name_H-M 'P -1'
_symmetry_Int_Tables_number 2
loop_
_symmetry_equiv_pos_as_xyz
'x,y,z'
'-x,-y,-z'
loop_
_atom_site_label
_atom_site_type_symbol
_atom_site_fract_x
_atom_site_fract_y
_atom_site_fract_z
Li1 Li 0.0959 0.3331 0.0211
Li2 Li 0.2483 0.3066 0.6434
Mn1 Mn 0.0656 0.9632 0.2071
Mn2 Mn 0.2718 0.7196 0.4663
Mn3 Mn 0.3851 0.6167 0.8626
B1 B 0.1563 0.1683 0.4271
B2 B 0.1749 0.5034 0.2479
B3 B 0.4852 0.8272 0.0866
O1 O 0.0377 0.9428 0.6512
O2 O 0.0417 0.4166 0.7587
O3 O 0.1397 0.3541 0.5031
O4 O 0.1947 0.3329 0.1668
O5 O 0.2829 0.2292 0.9034
O6 O 0.2828 0.7016 0.0089
O7 O 0.3636 0.0874 0.4456
O8 O 0.3660 0.5890 0.3280
O9 O 0.4494 0.0039 0.1579
```

5.
# Li2MnB2O6
Calculated powder XRD pattern, Cu Kα (weighted mean of Kα1 and Kα2). Input: the PBE+U geometry in the Materials Project.
Lines closer than 0.1° are merged.

Most intense lines, 2θ = 10–90°, in order of falling intensity:
(1 0 0), 18.5°, I 100; (0 1 1), 20.4°, I 78; (1 1 -1), 21.6°, I 66; (0 1 2), 36.0°, I 32; (3 0 -2), 51.0°, I 25; (2 1 -1), 35.0°, I 24; (1 3 0), 39.7°, I 14; (1 1 1), 32.7°, I 14; (1 1 0), 21.8°, I 13; (1 4 -2), 56.8°, I 12

Structure:
```
data_Li2MnB2O6
_cell_length_a 5.4394
_cell_length_b 7.7314
_cell_length_c 5.9700
_cell_angle_alpha 90.00
_cell_angle_beta 118.07
_cell_angle_gamma 90.00
_symmetry_space_group_name_H-M 'P 1 21/c 1'
_symmetry_Int_Tables_number 14
loop_
_symmetry_equiv_pos_as_xyz
'x,y,z'
'-x,-y,-z'
'-x,y+1/2,-z+1/2'
'x,-y+1/2,z+1/2'
loop_
_atom_site_label
_atom_site_type_symbol
_atom_site_fract_x
_atom_site_fract_y
_atom_site_fract_z
Li1 Li 0.1133 0.0651 0.3095
Mn1 Mn 0.5000 0.0000 0.0000
B1 B 0.3721 0.7425 0.1293
O1 O 0.2264 0.6024 0.5857
O2 O 0.2691 0.5856 0.1578
O3 O 0.3870 0.2380 0.8954
```

6.
# Li2Mn3B3O9
Calculated powder XRD pattern, Cu Kα (weighted mean of Kα1 and Kα2). Input: the PBE+U geometry in the Materials Project.
Lines closer than 0.1° are merged.

Most intense lines, 2θ = 10–90°, in order of falling intensity:
(0 2 1), 21.5°, I 100; (0 1 2), 21.7°, I 55; (2 -2 0), 36.1°, I 34; (-2 1 1), 35.6°, I 20; (2 1 0), 35.2°, I 17; (0 3 3), 37.8°, I 16; (2 -1 2), 36.4°, I 16; (2 2 2), 35.4°, I 14; (0 3 0), 37.6°, I 14; (4 0 2), 58.4°, I 13

Structure:
```
data_Li2Mn3B3O9
_cell_length_a 6.3210
_cell_length_b 8.2845
_cell_length_c 8.7448
_cell_angle_alpha 61.74
_cell_angle_beta 69.72
_cell_angle_gamma 88.95
_symmetry_space_group_name_H-M 'P 1'
_symmetry_Int_Tables_number 1
loop_
_symmetry_equiv_pos_as_xyz
'x,y,z'
loop_
_atom_site_label
_atom_site_type_symbol
_atom_site_fract_x
_atom_site_fract_y
_atom_site_fract_z
Li1 Li 0.0000 0.0000 0.0000
Li2 Li 0.1379 0.6908 0.7323
Li3 Li 0.5198 0.0068 0.0020
Li4 Li 0.8223 0.2630 0.4192
Mn1 Mn 0.0969 0.9802 0.3537
Mn2 Mn 0.2407 0.6210 0.0738
Mn3 Mn 0.4018 0.3361 0.6875
Mn4 Mn 0.5844 0.9704 0.3862
Mn5 Mn 0.7229 0.6135 0.0899
Mn6 Mn 0.8986 0.3855 0.6932
B1 B 0.3121 0.6538 0.3860
B2 B 0.4005 0.9821 0.7270
B3 B 0.5095 0.3140 0.0391
B4 B 0.8274 0.6540 0.3717
B5 B 0.9036 0.9912 0.7228
B6 B 0.9776 0.3152 0.0482
O1 O 0.0508 0.4052 0.8516
O2 O 0.2156 0.4636 0.5031
O3 O 0.2985 0.7669 0.4635
O4 O 0.3292 0.0508 0.8535
O5 O 0.3451 0.7952 0.7919
O6 O 0.4215 0.7218 0.1937
O7 O 0.4391 0.1269 0.1670
O8 O 0.5002 0.4450 0.0966
O9 O 0.5246 0.1066 0.5391
O10 O 0.5845 0.3724 0.8476
O11 O 0.7681 0.4590 0.4910
O12 O 0.8228 0.7683 0.4433
O13 O 0.8458 0.0895 0.8201
O14 O 0.8672 0.7969 0.8209
O15 O 0.8974 0.7252 0.1774
O16 O 0.9306 0.1249 0.1555
O17 O 0.9592 0.4244 0.1324
O18 O 0.9967 0.0827 0.5303
```

7.
# Li2Mn3B3O9
Calculated powder XRD pattern, Cu Kα (weighted mean of Kα1 and Kα2). Input: the PBE+U geometry in the Materials Project.
Lines closer than 0.1° are merged.

Most intense lines, 2θ = 10–90°, in order of falling intensity:
(0 2 2), 34.5°, I 100; (1 1 -1), 20.3°, I 83; (1 0 1), 22.9°, I 77; (2 -2 0), 40.4°, I 53; (0 2 -1), 22.0°, I 44; (2 0 -1), 34.1°, I 29; (1 -2 2), 33.9°, I 26; (0 1 -2), 20.7°, I 23; (0 3 -3), 39.7°, I 23; (1 3 -2), 37.9°, I 22

Structure:
```
data_Li2Mn3B3O9
_cell_length_a 5.2668
_cell_length_b 8.2526
_cell_length_c 9.2905
_cell_angle_alpha 104.27
_cell_angle_beta 106.19
_cell_angle_gamma 91.39
_symmetry_space_group_name_H-M 'P -1'
_symmetry_Int_Tables_number 2
loop_
_symmetry_equiv_pos_as_xyz
'x,y,z'
'-x,-y,-z'
loop_
_atom_site_label
_atom_site_type_symbol
_atom_site_fract_x
_atom_site_fract_y
_atom_site_fract_z
Li1 Li 0.1623 0.0426 0.1388
Li2 Li 0.1818 0.2944 0.5408
Mn1 Mn 0.0505 0.3112 0.9436
Mn2 Mn 0.2900 0.0340 0.7153
Mn3 Mn 0.3808 0.6335 0.6205
B1 B 0.0626 0.4766 0.2778
B2 B 0.2775 0.8557 0.3960
B3 B 0.3936 0.8257 0.9459
O1 O 0.0928 0.8957 0.2717
O2 O 0.1324 0.5002 0.1500
O3 O 0.1405 0.8468 0.9537
O4 O 0.1822 0.4901 0.7091
O5 O 0.1845 0.8255 0.5167
O6 O 0.2496 0.4298 0.3975
O7 O 0.4042 0.2031 0.9329
O8 O 0.4649 0.1617 0.6002
O9 O 0.4696 0.8464 0.8169
```